Starting from the PBE geometry in Alexandria, the X-ray diffraction stick pattern of Er6Pb3C was calculated for Cu Kα (λ = 1.5418 Å).

Structural model:
Lattice parameters (Å, degrees): 6.728 6.728 7.448 105.56 105.56 59.98
Fractional coordinates of all 10 atoms:
Er: 0.149 0.653 0.630
Er: 0.172 0.172 0.803
Er: 0.347 0.851 0.370
Er: 0.653 0.149 0.630
Er: 0.828 0.828 0.197
Er: 0.851 0.347 0.370
Pb: 0.315 0.315 0.254
Pb: 0.500 0.500 0.000
Pb: 0.685 0.685 0.746
C: 0.000 0.000 0.500

Main lines, low angle first (10° ≤ 2θ ≤ 90°):
| 2θ/deg | Rel. int. |
| --- | --- |
| 29.40 | 539 |
| 30.80 | 980 |
| 34.01 | 663 |
| 35.54 | 1000 |
| 36.46 | 497 |
| 36.97 | 679 |

---

Starting from the PBE geometry in Alexandria, the X-ray diffraction stick pattern of LiMg2CdIn2 was calculated for Cu Kα (λ = 1.5418 Å).

Structural model:
Lattice parameters (Å, degrees): 4.434 9.320 6.433 90.00 90.00 90.00
Fractional coordinates of all 12 atoms:
Li: 0.000 0.015 0.000
Li: 0.000 0.985 0.500
Mg: 0.000 0.321 0.495
Mg: 0.000 0.679 0.995
Mg: 0.500 0.498 0.241
Mg: 0.500 0.502 0.741
Cd: 0.500 0.166 0.743
Cd: 0.500 0.834 0.243
In: 0.000 0.340 0.991
In: 0.000 0.660 0.491
In: 0.500 0.155 0.258
In: 0.500 0.845 0.758

Main lines, low angle first (10° ≤ 2θ ≤ 90°):
| 2θ/deg | Rel. int. |
| --- | --- |
| 22.20 | 519 |
| 34.45 | 1000 |
| 35.27 | 923 |
| 40.36 | 625 |
| 58.66 | 400 |
| 70.59 | 324 |

---

Starting from the PBE geometry in Alexandria, the X-ray diffraction stick pattern of CsIn2GaSb2 was calculated for Cu Kα (λ = 1.5418 Å).

Structural model:
Lattice parameters (Å, degrees): 6.835 12.464 4.987 90.00 90.00 90.00
Fractional coordinates of all 12 atoms:
Cs: 0.000 0.000 0.000
Cs: 0.500 0.500 0.500
In: 0.237 0.314 0.000
In: 0.263 0.814 0.500
In: 0.737 0.186 0.500
In: 0.763 0.686 0.000
Ga: 0.000 0.500 0.000
Ga: 0.500 0.000 0.500
Sb: 0.173 0.193 0.500
Sb: 0.327 0.693 0.000
Sb: 0.673 0.307 0.000
Sb: 0.827 0.807 0.500

Main lines, low angle first (10° ≤ 2θ ≤ 90°):
| 2θ/deg | Rel. int. |
| --- | --- |
| 26.34 | 744 |
| 27.95 | 1000 |
| 29.82 | 784 |
| 36.02 | 496 |
| 47.44 | 425 |
| 48.77 | 286 |

---

Starting from the PBE geometry in Alexandria, the X-ray diffraction stick pattern of Tb4Sm8Er was calculated for Cu Kα (λ = 1.5418 Å).

Structural model:
Lattice parameters (Å, degrees): 7.825 7.825 7.825 90.05 90.05 90.05
Fractional coordinates of all 13 atoms:
Tb: 0.000 0.000 0.000
Tb: 0.000 0.500 0.500
Tb: 0.500 0.000 0.500
Tb: 0.500 0.500 0.000
Sm: 0.240 0.240 0.240
Sm: 0.240 0.240 0.759
Sm: 0.240 0.759 0.240
Sm: 0.241 0.760 0.760
Sm: 0.759 0.240 0.240
Sm: 0.760 0.241 0.760
Sm: 0.760 0.760 0.241
Sm: 0.760 0.760 0.760
Er: 0.500 0.500 0.500

Main lines, low angle first (10° ≤ 2θ ≤ 90°):
| 2θ/deg | Rel. int. |
| --- | --- |
| 19.65 | 128 |
| 32.36 | 1000 |
| 46.42 | 181 |
| 57.72 | 372 |
| 67.74 | 113 |
| 77.08 | 154 |

---

Starting from the PBE geometry in Alexandria, the X-ray diffraction stick pattern of Li3Ge3Rh was calculated for Cu Kα (λ = 1.5418 Å).

Structural model:
Lattice parameters (Å, degrees): 6.725 6.725 6.710 102.41 102.41 113.65
Fractional coordinates of all 14 atoms:
Li: 0.113 0.887 0.000
Li: 0.223 0.777 0.500
Li: 0.445 0.445 0.190
Li: 0.555 0.555 0.810
Li: 0.777 0.223 0.500
Li: 0.887 0.113 0.000
Ge: 0.129 0.496 0.887
Ge: 0.202 0.202 0.390
Ge: 0.496 0.129 0.887
Ge: 0.504 0.871 0.113
Ge: 0.798 0.798 0.610
Ge: 0.871 0.504 0.113
Rh: 0.153 0.153 0.722
Rh: 0.847 0.847 0.278

Main lines, low angle first (10° ≤ 2θ ≤ 90°):
| 2θ/deg | Rel. int. |
| --- | --- |
| 17.10 | 1000 |
| 21.37 | 885 |
| 26.34 | 451 |
| 27.81 | 447 |
| 38.49 | 502 |
| 47.00 | 582 |

---

Starting from the PBE geometry in Alexandria, the X-ray diffraction stick pattern of SrAcTe2H was calculated for Cu Kα (λ = 1.5418 Å).

Structural model:
Lattice parameters (Å, degrees): 4.600 4.600 15.587 90.00 90.00 90.00
Fractional coordinates of all 10 atoms:
Sr: 0.250 0.250 0.074
Sr: 0.750 0.750 0.926
Ac: 0.250 0.250 0.638
Ac: 0.750 0.750 0.362
Te: 0.250 0.250 0.408
Te: 0.250 0.250 0.836
Te: 0.750 0.750 0.164
Te: 0.750 0.750 0.592
H: 0.250 0.750 0.000
H: 0.750 0.250 0.000

Main lines, low angle first (10° ≤ 2θ ≤ 90°):
| 2θ/deg | Rel. int. |
| --- | --- |
| 20.13 | 378 |
| 22.82 | 373 |
| 27.42 | 1000 |
| 34.76 | 596 |
| 35.96 | 475 |
| 39.16 | 392 |

---

Copy entry 2 word for word.
Starting from the PBE geometry in Alexandria, the X-ray diffraction stick pattern of LiMg2CdIn2 was calculated for Cu Kα (λ = 1.5418 Å).

Structural model:
Lattice parameters (Å, degrees): 4.434 9.320 6.433 90.00 90.00 90.00
Fractional coordinates of all 12 atoms:
Li: 0.000 0.015 0.000
Li: 0.000 0.985 0.500
Mg: 0.000 0.321 0.495
Mg: 0.000 0.679 0.995
Mg: 0.500 0.498 0.241
Mg: 0.500 0.502 0.741
Cd: 0.500 0.166 0.743
Cd: 0.500 0.834 0.243
In: 0.000 0.340 0.991
In: 0.000 0.660 0.491
In: 0.500 0.155 0.258
In: 0.500 0.845 0.758

Main lines, low angle first (10° ≤ 2θ ≤ 90°):
| 2θ/deg | Rel. int. |
| --- | --- |
| 22.20 | 519 |
| 34.45 | 1000 |
| 35.27 | 923 |
| 40.36 | 625 |
| 58.66 | 400 |
| 70.59 | 324 |